Computed powder X-ray diffraction pattern of Cs2MnMoO6 for Cu Kα, from a DFT-relaxed cell (GGA+U, Alexandria).
Neutral-atom scattering factors, no anomalous dispersion.

Structural model:
```
data_Cs2MnMoO6
_chemical_formula_sum 'Cs2 Mn1 Mo1 O6'
_cell_length_a 6.563
_cell_length_b 6.563
_cell_length_c 5.160
_cell_angle_alpha 90.00
_cell_angle_beta 90.00
_cell_angle_gamma 120.00
_space_group_name_H-M_alt 'P 1'
_space_group_IT_number 1
loop_
_space_group_symop_operation_xyz
'x,y,z'
loop_
_atom_site_label
_atom_site_fract_x
_atom_site_fract_y
_atom_site_fract_z
Cs1 0.333 0.667 0.219
Cs2 0.667 0.333 0.781
Mn1 0.000 0.000 0.000
Mo1 0.000 0.000 0.500
O1 0.130 0.260 0.749
O2 0.130 0.870 0.749
O3 0.260 0.130 0.251
O4 0.740 0.870 0.749
O5 0.870 0.130 0.251
O6 0.870 0.740 0.251
```

The 10 most intense peaks (10 to 90 degrees two-theta), in order of rising 2θ:
2theta	intensity	index
23.3	87	1 0 1
27.2	100	1 1 0
36.1	53	0 2 1
38.3	31	0 1 2
45.7	22	2 1 1
47.6	27	2 0 2
48.0	18	3 0 0
55.7	32	1 2 2
56.0	17	2 2 0
61.5	16	1 3 1